The following is a calculated PXRD pattern of Na3LaHg7. It was derived from DFT lattice parameters and positions (PBE), using CuKα.
Lines closer than 0.1° are merged.

Structure:
Cell: 10.9378 10.9378 16.2750 Å, 90.00 90.00 160.91°
Fractional coordinates of all 22 atoms:
1 Na 0.1157 0.8843 0.5127
2 Na 0.1157 0.8843 0.9873
3 Na 0.2357 0.7643 0.2500
4 Na 0.7643 0.2357 0.7500
5 Na 0.8843 0.1157 0.0127
6 Na 0.8843 0.1157 0.4873
7 La 0.0134 0.9866 0.2500
8 La 0.9866 0.0134 0.7500
9 Hg 0.2497 0.7503 0.5801
10 Hg 0.2497 0.7503 0.9199
11 Hg 0.3734 0.6266 0.6556
12 Hg 0.3734 0.6266 0.8444
13 Hg 0.3816 0.6184 0.2500
14 Hg 0.4929 0.5071 0.0870
15 Hg 0.4929 0.5071 0.4130
16 Hg 0.5071 0.4929 0.5870
17 Hg 0.5071 0.4929 0.9130
18 Hg 0.6184 0.3816 0.7500
19 Hg 0.6266 0.3734 0.1556
20 Hg 0.6266 0.3734 0.3444
21 Hg 0.7503 0.2497 0.0801
22 Hg 0.7503 0.2497 0.4199

The 12 most intense peaks (2θ from 10° to 90°), by angle:
- 19.75 deg, I 87
- 24.89 deg, I 74
- 28.65 deg, I 45
- 29.69 deg, I 74
- 29.92 deg, I 86
- 33.22 deg, I 100
- 33.35 deg, I 35
- 34.12 deg, I 63
- 37.10 deg, I 84
- 39.25 deg, I 60
- 41.92 deg, I 46
- 64.15 deg, I 36